For Cd2Hg9Pb, a DFT-relaxed cell (GGA-PBE, Alexandria) gives the simulated powder XRD pattern in this record (a wavelength of 1.5418 Å).
Kinematic intensities with the Lorentz-polarization factor, no thermal factor.

Crystal structure
```
data_Cd2Hg9Pb
_chemical_formula_sum 'Cd2 Hg9 Pb1'
_cell_length_a 4.5082
_cell_length_b 4.5082
_cell_length_c 15.3123
_cell_angle_alpha 90.00
_cell_angle_beta 90.00
_cell_angle_gamma 90.00
_space_group_name_H-M_alt 'P 4/m m m'
_space_group_IT_number 123
_space_group_name_Hall '-P 4 2'
loop_
_atom_site_label
_atom_site_fract_x
_atom_site_fract_y
_atom_site_fract_z
Cd1 0.0000 0.0000 0.1652
Hg1 0.0000 0.5000 0.0000
Hg2 0.0000 0.5000 0.3274
Hg3 0.5000 0.5000 0.1644
Hg4 0.5000 0.5000 0.5000
Pb1 0.0000 0.0000 0.5000
```

The 6 most intense peaks (2θ = 10–80°), low angle first:
d (Å)	two_theta	I/Imax
2.704	33.1	100
2.552	35.2	21
2.254	40.0	30
1.689	54.3	25
1.501	61.8	16
1.373	68.3	25

For Cd2HgPb, a DFT-relaxed cell (GGA-PBE, Alexandria) gives the simulated powder XRD pattern in this record (a wavelength of 1.5418 Å).
Kinematic intensities with the Lorentz-polarization factor, no thermal factor.

Crystal structure
```
data_Cd2HgPb
_chemical_formula_sum 'Cd6 Hg3 Pb3'
_cell_length_a 3.4373
_cell_length_b 3.4373
_cell_length_c 30.9091
_cell_angle_alpha 90.00
_cell_angle_beta 90.00
_cell_angle_gamma 120.00
_space_group_name_H-M_alt 'R -3 m'
_space_group_IT_number 166
_space_group_name_Hall '-R 3 2"'
loop_
_atom_site_label
_atom_site_fract_x
_atom_site_fract_y
_atom_site_fract_z
Cd1 0.0000 0.0000 0.2417
Hg1 0.0000 0.0000 0.5000
Pb1 0.0000 0.0000 0.0000
```

The 6 most intense peaks (2θ = 10–80°), low angle first:
d (Å)	two_theta	I/Imax
2.778	32.2	100
2.576	34.8	24
2.358	38.2	61
1.719	53.3	26
1.620	56.8	16
1.430	65.3	23

For CdHgPb2, a DFT-relaxed cell (GGA-PBE, Alexandria) gives the simulated powder XRD pattern in this record (a wavelength of 1.5418 Å).
Kinematic intensities with the Lorentz-polarization factor, no thermal factor.

Crystal structure
```
data_CdHgPb2
_chemical_formula_sum 'Cd3 Hg3 Pb6'
_cell_length_a 3.3183
_cell_length_b 3.3183
_cell_length_c 36.1875
_cell_angle_alpha 90.00
_cell_angle_beta 90.00
_cell_angle_gamma 120.00
_space_group_name_H-M_alt 'R -3 m'
_space_group_IT_number 166
_space_group_name_Hall '-R 3 2"'
loop_
_atom_site_label
_atom_site_fract_x
_atom_site_fract_y
_atom_site_fract_z
Cd1 0.0000 0.0000 0.0000
Hg1 0.0000 0.0000 0.5000
Pb1 0.0000 0.0000 0.2536
```

The 6 most intense peaks (2θ = 10–80°), low angle first:
d (Å)	two_theta	I/Imax
3.016	29.6	41
2.739	32.7	100
2.426	37.1	71
1.777	51.4	26
1.659	55.4	23
1.454	64.1	28

For CdHg14Pb, a DFT-relaxed cell (GGA-PBE, Alexandria) gives the simulated powder XRD pattern in this record (a wavelength of 1.5418 Å).
Kinematic intensities with the Lorentz-polarization factor, no thermal factor.

Crystal structure
```
data_CdHg14Pb
_chemical_formula_sum 'Cd2 Hg28 Pb2'
_cell_length_a 11.0185
_cell_length_b 6.7722
_cell_length_c 11.6755
_cell_angle_alpha 90.00
_cell_angle_beta 90.00
_cell_angle_gamma 90.00
_space_group_name_H-M_alt 'A m m 2'
_space_group_IT_number 38
loop_
_space_group_symop_operation_xyz
'x,y,z'
'-x,-y,z'
'-x,y,z'
'x,-y,z'
'x,y+1/2,z+1/2'
'-x,-y+1/2,z+1/2'
'-x,y+1/2,z+1/2'
'x,-y+1/2,z+1/2'
loop_
_atom_site_label
_atom_site_fract_x
_atom_site_fract_y
_atom_site_fract_z
Cd1 0.0000 0.0000 0.0000
Hg1 0.0000 0.2378 0.7334
Hg2 0.2515 0.0000 0.2053
Hg3 0.2553 0.2421 0.9532
Hg4 0.2593 0.0000 0.7003
Hg5 0.5000 0.0000 0.0446
Hg6 0.5000 0.0000 0.5357
Hg7 0.5000 0.2492 0.2911
Pb1 0.0000 0.0000 0.4714
```

The 6 most intense peaks (2θ = 10–80°), low angle first:
d (Å)	two_theta	I/Imax
2.929	30.5	9
2.919	30.6	14
2.755	32.5	30
2.585	34.7	100
2.005	45.2	16
1.556	59.4	17

For CdHgPb5, a DFT-relaxed cell (GGA-PBE, Alexandria) gives the simulated powder XRD pattern in this record (a wavelength of 1.5418 Å).
Kinematic intensities with the Lorentz-polarization factor, no thermal factor.

Crystal structure
```
data_CdHgPb5
_chemical_formula_sum 'Cd2 Hg2 Pb10'
_cell_length_a 6.7962
_cell_length_b 9.1395
_cell_length_c 9.5567
_cell_angle_alpha 90.00
_cell_angle_beta 90.00
_cell_angle_gamma 90.00
_space_group_name_H-M_alt 'I m m 2'
_space_group_IT_number 44
loop_
_space_group_symop_operation_xyz
'x,y,z'
'-x,-y,z'
'-x,y,z'
'x,-y,z'
'x+1/2,y+1/2,z+1/2'
'-x+1/2,-y+1/2,z+1/2'
'-x+1/2,y+1/2,z+1/2'
'x+1/2,-y+1/2,z+1/2'
loop_
_atom_site_label
_atom_site_fract_x
_atom_site_fract_y
_atom_site_fract_z
Cd1 0.0000 0.0000 0.0000
Hg1 0.0000 0.5000 0.4125
Pb1 0.0000 0.0000 0.5327
Pb2 0.0000 0.2202 0.7725
Pb3 0.2478 0.0000 0.2617
```

The 6 most intense peaks (2θ = 10–80°), low angle first:
d (Å)	two_theta	I/Imax
5.539	16.0	45
4.570	19.4	29
3.525	25.3	61
3.022	29.6	58
3.008	29.7	29
2.368	38.0	100

For Cd2Hg2Pb15, a DFT-relaxed cell (GGA-PBE, Alexandria) gives the simulated powder XRD pattern in this record (a wavelength of 1.5418 Å).
Kinematic intensities with the Lorentz-polarization factor, no thermal factor.

Crystal structure
```
data_Cd2Hg2Pb15
_chemical_formula_sum 'Cd4 Hg4 Pb30'
_cell_length_a 13.6553
_cell_length_b 9.6593
_cell_length_c 9.0346
_cell_angle_alpha 90.00
_cell_angle_beta 95.85
_cell_angle_gamma 90.00
_space_group_name_H-M_alt 'C 1 2/m 1'
_space_group_IT_number 12
loop_
_space_group_symop_operation_xyz
'x,y,z'
'-x,-y,-z'
'-x,y,-z'
'x,-y,z'
'x+1/2,y+1/2,z'
'-x+1/2,-y+1/2,-z'
'-x+1/2,y+1/2,-z'
'x+1/2,-y+1/2,z'
loop_
_atom_site_label
_atom_site_fract_x
_atom_site_fract_y
_atom_site_fract_z
Cd1 0.1552 0.0000 0.2840
Hg1 0.1813 0.5000 0.9414
Pb1 0.0000 0.0000 0.0000
Pb2 0.0000 0.1705 0.5000
Pb3 0.0653 0.3187 0.1846
Pb4 0.1050 0.5000 0.6034
Pb5 0.1715 0.1851 0.8345
Pb6 0.2500 0.2500 0.5000
```

The 6 most intense peaks (2θ = 10–80°), low angle first:
d (Å)	two_theta	I/Imax
2.980	30.0	85
2.898	30.9	59
2.853	31.4	88
2.594	34.6	68
2.560	35.1	63
2.545	35.3	100

For CdHg2Pb3, a DFT-relaxed cell (GGA-PBE, Alexandria) gives the simulated powder XRD pattern in this record (a wavelength of 1.5418 Å).
Kinematic intensities with the Lorentz-polarization factor, no thermal factor.

Crystal structure
```
data_CdHg2Pb3
_chemical_formula_sum 'Cd2 Hg4 Pb6'
_cell_length_a 7.5700
_cell_length_b 3.6207
_cell_length_c 12.3705
_cell_angle_alpha 90.00
_cell_angle_beta 92.85
_cell_angle_gamma 90.00
_space_group_name_H-M_alt 'P 1 21/m 1'
_space_group_IT_number 11
loop_
_space_group_symop_operation_xyz
'x,y,z'
'-x,-y,-z'
'-x,y+1/2,-z'
'x,-y+1/2,z'
loop_
_atom_site_label
_atom_site_fract_x
_atom_site_fract_y
_atom_site_fract_z
Cd1 0.1514 0.2500 0.2689
Hg1 0.0851 0.2500 0.8785
Hg2 0.3764 0.7500 0.4239
Pb1 0.1343 0.2500 0.5938
Pb2 0.3211 0.7500 0.0503
Pb3 0.4142 0.7500 0.7688
```

The 6 most intense peaks (2θ = 10–80°), low angle first:
d (Å)	two_theta	I/Imax
2.857	31.3	64
2.719	32.9	100
2.615	34.3	73
1.646	55.9	17
1.577	58.5	16
1.529	60.6	21

For Cd9Hg4Pb2, a DFT-relaxed cell (GGA-PBE, Alexandria) gives the simulated powder XRD pattern in this record (a wavelength of 1.5418 Å).
Kinematic intensities with the Lorentz-polarization factor, no thermal factor.

Crystal structure
```
data_Cd9Hg4Pb2
_chemical_formula_sum 'Cd9 Hg4 Pb2'
_cell_length_a 4.9883
_cell_length_b 4.9883
_cell_length_c 17.7923
_cell_angle_alpha 90.00
_cell_angle_beta 90.00
_cell_angle_gamma 120.00
_space_group_name_H-M_alt 'P -3 m 1'
_space_group_IT_number 164
_space_group_name_Hall '-P 3 2"'
loop_
_atom_site_label
_atom_site_fract_x
_atom_site_fract_y
_atom_site_fract_z
Cd1 0.0000 0.0000 0.0000
Cd2 0.0000 0.0000 0.1739
Cd3 0.0000 0.0000 0.3455
Cd4 0.3333 0.6667 0.0595
Cd5 0.3333 0.6667 0.4453
Hg1 0.3333 0.6667 0.6101
Hg2 0.3333 0.6667 0.8726
Pb1 0.3333 0.6667 0.2576
```

The 6 most intense peaks (2θ = 10–80°), low angle first:
d (Å)	two_theta	I/Imax
3.492	25.5	29
2.747	32.6	66
2.494	36.0	100
2.445	36.8	34
1.846	49.4	21
1.484	62.6	20

For Cd12Hg4Pb, a DFT-relaxed cell (GGA-PBE, Alexandria) gives the simulated powder XRD pattern in this record (a wavelength of 1.5418 Å).
Kinematic intensities with the Lorentz-polarization factor, no thermal factor.

Crystal structure
```
data_Cd12Hg4Pb
_chemical_formula_sum 'Cd36 Hg12 Pb3'
_cell_length_a 14.0340
_cell_length_b 14.0340
_cell_length_c 8.5752
_cell_angle_alpha 90.00
_cell_angle_beta 90.00
_cell_angle_gamma 120.00
_space_group_name_H-M_alt 'R -3'
_space_group_IT_number 148
_space_group_name_Hall '-R 3'
loop_
_atom_site_label
_atom_site_fract_x
_atom_site_fract_y
_atom_site_fract_z
Cd1 0.0194 0.1857 0.3329
Cd2 0.0496 0.5985 0.8039
Hg1 0.0000 0.0000 0.5000
Hg2 0.0000 0.5000 0.5000
Pb1 0.0000 0.0000 0.0000
```

The 6 most intense peaks (2θ = 10–80°), low angle first:
d (Å)	two_theta	I/Imax
3.506	25.4	56
3.136	28.5	100
2.650	33.8	45
2.217	40.7	54
2.024	44.8	65
1.945	46.7	46

For Cd8Hg3Pb, a DFT-relaxed cell (GGA-PBE, Alexandria) gives the simulated powder XRD pattern in this record (a wavelength of 1.5418 Å).
Kinematic intensities with the Lorentz-polarization factor, no thermal factor.

Crystal structure
```
data_Cd8Hg3Pb
_chemical_formula_sum 'Cd8 Hg3 Pb1'
_cell_length_a 5.8621
_cell_length_b 5.9473
_cell_length_c 10.1525
_cell_angle_alpha 73.87
_cell_angle_beta 75.33
_cell_angle_gamma 60.72
_space_group_name_H-M_alt 'P 1'
_space_group_IT_number 1
loop_
_space_group_symop_operation_xyz
'x,y,z'
loop_
_atom_site_label
_atom_site_fract_x
_atom_site_fract_y
_atom_site_fract_z
Cd1 0.0000 0.0000 0.0000
Cd2 0.0192 0.6940 0.2974
Cd3 0.0474 0.2941 0.6926
Cd4 0.1139 0.7360 0.7524
Cd5 0.4404 0.5177 0.4874
Cd6 0.4992 0.8401 0.1751
Cd7 0.5465 0.1778 0.8235
Cd8 0.5885 0.2595 0.2387
Hg1 0.0548 0.1472 0.4217
Hg2 0.1016 0.4041 0.0698
Hg3 0.5870 0.6192 0.9159
Pb1 0.6347 0.8703 0.5697
```

The 6 most intense peaks (2θ = 10–80°), low angle first:
d (Å)	two_theta	I/Imax
2.559	35.1	92
2.546	35.2	100
2.531	35.5	78
2.496	36.0	77
2.488	36.1	78
2.447	36.7	90